Record 1
Simulated powder XRD pattern of Tb5Pm2HoSc for λ = 1.5418 Å (Cu Kα), from a PBE-relaxed structure.

Crystal structure
Unit cell a=10.4354 b=10.4354 c=10.3776 alpha=90.00 beta=90.00 gamma=149.16
Fractional positions:
Tb  0.0158  0.9842  0.5000
Tb  0.2744  0.7256  0.8057
Tb  0.2984  0.7016  0.1878
Tb  0.3734  0.6266  0.5045
Tb  0.4835  0.5165  0.2268
Tb  0.5165  0.4835  0.7268
Tb  0.6266  0.3734  0.0045
Tb  0.7016  0.2984  0.6878
Tb  0.7256  0.2744  0.3057
Tb  0.9842  0.0158  0.0000
Pm  0.1130  0.8870  0.7978
Pm  0.1151  0.8849  0.2207
Pm  0.8849  0.1151  0.7207
Pm  0.8870  0.1130  0.2978
Ho  0.4066  0.5934  0.9443
Ho  0.5934  0.4066  0.4443
Sc  0.1948  0.8052  0.4996
Sc  0.8052  0.1948  0.9996

Peak list (12 most intense, 2θ = 5–70°, in order of rising 2θ)
2theta	I (rel.)
27.02	26
27.96	14
30.78	35
32.26	44
32.45	100
34.57	12
36.25	10
48.01	9
51.80	11
57.64	20
59.55	9
62.35	13

---

Record 2
Simulated powder XRD pattern of PmHo4TmSc2 for λ = 1.5418 Å (Cu Kα), from a PBE-relaxed structure.

Crystal structure
Unit cell a=6.9757 b=6.9763 c=11.2209 alpha=89.98 beta=89.99 gamma=60.12
Fractional positions:
Pm  0.0000  0.0000  0.0000
Pm  0.0000  0.5000  0.5000
Ho  0.1691  0.1678  0.2462
Ho  0.1701  0.6644  0.2482
Ho  0.3328  0.3336  0.7561
Ho  0.3344  0.8312  0.7511
Ho  0.6656  0.1688  0.2489
Ho  0.6672  0.6664  0.2439
Ho  0.8299  0.3356  0.7518
Ho  0.8309  0.8322  0.7538
Tm  0.0000  0.0000  0.5000
Tm  0.5000  0.0000  0.5000
Sc  0.0000  0.5000  0.0000
Sc  0.5000  0.0000  0.0000
Sc  0.5000  0.5000  0.0000
Sc  0.5000  0.5000  0.5000

Peak list (12 most intense, 2θ = 5–70°, in order of rising 2θ)
2theta	I (rel.)
15.80	11
30.63	80
31.90	40
33.68	100
38.29	43
50.66	20
52.47	20
57.99	21
62.68	23
62.74	11
63.74	10
66.70	10

---

Record 3
Simulated powder XRD pattern of Pm5HoTmSc2 for λ = 1.5418 Å (Cu Kα), from a PBE-relaxed structure.

Crystal structure
Unit cell a=10.4485 b=10.4485 c=10.4726 alpha=90.00 beta=90.00 gamma=149.43
Fractional positions:
Pm  0.0111  0.9889  0.5000
Pm  0.2739  0.7261  0.8062
Pm  0.3015  0.6985  0.1986
Pm  0.3793  0.6207  0.5078
Pm  0.4837  0.5163  0.2293
Pm  0.5163  0.4837  0.7293
Pm  0.6207  0.3793  0.0078
Pm  0.6985  0.3015  0.6986
Pm  0.7261  0.2739  0.3062
Pm  0.9889  0.0111  0.0000
Ho  0.1926  0.8074  0.5024
Ho  0.8074  0.1926  0.0024
Tm  0.4065  0.5935  0.9441
Tm  0.5935  0.4065  0.4441
Sc  0.1104  0.8896  0.7851
Sc  0.1138  0.8862  0.2319
Sc  0.8862  0.1138  0.7319
Sc  0.8896  0.1104  0.2851

Peak list (12 most intense, 2θ = 5–70°, in order of rising 2θ)
2theta	I (rel.)
12.19	14
16.68	10
27.89	14
30.64	34
32.40	100
32.51	37
34.25	14
36.23	11
47.94	11
51.41	9
57.93	19
62.16	9